Structure and computed powder diffraction line list of LiV3OF11 (a PBE+U-relaxed structure; CuKα).

Crystal structure
Unit cell a=5.291 b=5.419 c=15.490 alpha=80.04 beta=89.98 gamma=89.30
Space group P1 (No. 1)
Unique sites:
Li: 0.000 0.000 0.000 x1
Li: 0.484 0.441 0.984 x1
V: 0.283 0.298 0.821 x1
V: 0.286 0.979 0.491 x1
V: 0.291 0.644 0.167 x1
V: 0.786 0.479 0.491 x1
V: 0.791 0.811 0.812 x1
V: 0.818 0.116 0.167 x1
O: 0.012 0.877 0.138 x1
O: 0.228 0.240 0.931 x1
F: 0.090 0.366 0.143 x1
F: 0.091 0.687 0.472 x1
F: 0.096 0.011 0.790 x1
F: 0.202 0.919 0.603 x1
F: 0.225 0.565 0.279 x1
F: 0.360 0.701 0.046 x1
F: 0.363 0.041 0.379 x1
F: 0.392 0.416 0.711 x1
F: 0.482 0.271 0.510 x1
F: 0.505 0.599 0.854 x1
F: 0.505 0.918 0.184 x1
F: 0.587 0.421 0.174 x1
F: 0.590 0.769 0.516 x1
F: 0.609 0.098 0.838 x1
F: 0.692 0.880 0.703 x1
F: 0.710 0.562 0.379 x1
F: 0.729 0.210 0.041 x1
F: 0.854 0.096 0.282 x1
F: 0.867 0.399 0.603 x1
F: 0.888 0.759 0.930 x1
F: 0.974 0.516 0.796 x1
F: 0.981 0.190 0.467 x1

Top 10 peaks for 10° ≤ 2θ ≤ 80°, low angle first:
| 2theta | Rel. int. | h k l |
| --- | --- | --- |
| 17.4 | 100 | 0 0 3 |
| 25.0 | 82 | 1 1 -1 |
| 25.2 | 82 | 1 -1 1 |
| 33.1 | 14 | 0 2 1 |
| 35.3 | 14 | 0 0 6 |
| 39.3 | 11 | 1 0 6 |
| 47.8 | 14 | 2 2 1 |
| 48.4 | 14 | -2 2 1 |
| 54.2 | 11 | 1 3 3 |
| 54.6 | 11 | -1 3 3 |